(1)
Computed XRD peak list of Ca3PrTe4 for a wavelength of 1.5418 Å, from a DFT-relaxed cell (GGA-PBE, Alexandria).
Intensities are scaled so that the largest is 100.

Main lines, in order of rising 2θ (2θ from 5° to 70°):
| (hkl) | two_theta | Rel. int. |
| --- | --- | --- |
| 2 0 1 | 27.94 | 100.0 |
| 4 0 0 | 39.78 | 12.7 |
| 2 4 1 | 39.91 | 50.3 |
| 0 0 2 | 40.10 | 12.4 |
| 4 4 0 | 49.30 | 13.5 |
| 0 4 2 | 49.56 | 13.3 |
| 4 0 2 | 57.73 | 12.5 |
| 4 4 2 | 65.32 | 22.7 |

Cell and atoms:
Cell lengths 9.064, 12.785, 4.498 Å; angles 90.00, 90.00, 90.00 degrees
Space group Cmmm (No. 65)
Unique sites:
Ca 0.000 0.000 0.000 (multiplicity 2)
Ca 0.250 0.250 0.500 (multiplicity 4)
Pr 0.000 0.500 0.000 (multiplicity 2)
Te 0.000 0.248 0.000 (multiplicity 4)
Te 0.246 0.000 0.500 (multiplicity 4)

***

(2)
Computed XRD peak list of Cd4In3Hg16 for a wavelength of 1.5418 Å, from a DFT-relaxed cell (GGA-PBE, Alexandria).
Intensities are scaled so that the largest is 100.

Main lines, in order of rising 2θ (2θ from 5° to 70°):
| (hkl) | two_theta | Rel. int. |
| --- | --- | --- |
| 0 2 -3 | 29.86 | 27.3 |
| 1 2 -2 | 30.38 | 30.9 |
| 1 -2 3 | 31.77 | 30.7 |
| 1 1 2 | 32.46 | 100.0 |
| -2 2 2 | 32.48 | 99.5 |
| 2 1 -3 | 33.50 | 51.7 |
| 3 -1 0 | 34.83 | 82.0 |
| -1 3 4 | 56.36 | 25.8 |

Cell and atoms:
Cell lengths 7.951, 8.097, 10.945 Å; angles 103.04, 102.49, 110.30 degrees
Space group P-1 (No. 2)
Unique sites:
Cd 0.158 0.006 0.170 (multiplicity 2)
Cd 0.329 0.505 0.844 (multiplicity 2)
In 0.000 0.500 0.000 (multiplicity 1)
In 0.000 0.500 0.500 (multiplicity 1)
In 0.500 0.000 0.500 (multiplicity 1)
Hg 0.081 0.745 0.326 (multiplicity 2)
Hg 0.088 0.768 0.820 (multiplicity 2)
Hg 0.183 0.045 0.644 (multiplicity 2)
Hg 0.248 0.248 0.003 (multiplicity 2)
Hg 0.270 0.310 0.453 (multiplicity 2)
Hg 0.386 0.595 0.276 (multiplicity 2)
Hg 0.418 0.749 0.674 (multiplicity 2)
Hg 0.444 0.862 0.089 (multiplicity 2)

***

(3)
Computed XRD peak list of RbNdCu2Br8 for a wavelength of 1.5418 Å, from a DFT-relaxed cell (GGA-PBE, Alexandria).
Intensities are scaled so that the largest is 100.

Main lines, in order of rising 2θ (2θ from 5° to 70°):
| (hkl) | two_theta | Rel. int. |
| --- | --- | --- |
| 1 1 2 | 21.30 | 100.0 |
| 1 1 4 | 29.05 | 86.7 |
| 2 1 1 | 29.28 | 88.5 |
| 1 2 3 | 33.49 | 39.5 |
| 2 0 4 | 34.41 | 51.5 |
| 1 1 6 | 38.88 | 40.3 |
| 1 3 2 | 42.69 | 84.1 |
| 2 0 8 | 53.47 | 32.1 |

Cell and atoms:
Cell lengths 6.952, 6.952, 15.759 Å; angles 90.00, 90.00, 90.00 degrees
Space group I-4 (No. 82)
Unique sites:
Rb 0.000 0.000 0.000 (multiplicity 2)
Nd 0.000 0.500 0.250 (multiplicity 2)
Cu 0.000 0.000 0.500 (multiplicity 2)
Cu 0.000 0.500 0.750 (multiplicity 2)
Br 0.120 0.266 0.414 (multiplicity 8)
Br 0.163 0.774 0.811 (multiplicity 8)